[1]
Computed powder diffractogram
Compound: Sr5Tm
Radiation: Cu Kα
Structure: a cell relaxed with GGA-PBE
Neutral-atom scattering factors, no anomalous dispersion.

```
data_Sr5Tm
_chemical_formula_sum 'Sr10 Tm2'
_symmetry_space_group_name_H-M 'C m m m'
_symmetry_Int_Tables_number 65
_symmetry_space_group_name_Hall '-C 2 2'
_cell_length_a 6.565
_cell_length_b 19.745
_cell_length_c 4.405
_cell_angle_alpha 90.00
_cell_angle_beta 90.00
_cell_angle_gamma 90.00
loop_
_atom_site_label
_atom_site_type_symbol
_atom_site_fract_x
_atom_site_fract_y
_atom_site_fract_z
Sr1 Sr 0.000 0.000 0.000
Sr2 Sr 0.000 0.171 0.500
Sr3 Sr 0.000 0.348 0.000
Tm1 Tm 0.000 0.500 0.500
```

Most intense lines, 2θ = 10–90°, by angle:
- (2 0 0), 27.13 deg, I 56
- (1 3 1), 27.91 deg, I 100
- (2 6 0), 38.75 deg, I 22
- (0 0 2), 40.98 deg, I 9
- (3 3 1), 48.43 deg, I 40
- (2 0 2), 49.84 deg, I 19
- (2 6 2), 57.66 deg, I 12
- (3 9 1), 63.67 deg, I 8
- (1 3 3), 66.82 deg, I 8
- (4 6 2), 78.19 deg, I 9


[2]
Computed powder diffractogram
Compound: SrTm4
Radiation: Cu Kα
Structure: a cell relaxed with GGA-PBE
Neutral-atom scattering factors, no anomalous dispersion.

```
data_SrTm4
_chemical_formula_sum 'Sr1 Tm4'
_symmetry_space_group_name_H-M 'P m -3 m'
_symmetry_Int_Tables_number 221
_symmetry_space_group_name_Hall '-P 4 2 3'
_cell_length_a 5.584
_cell_length_b 5.584
_cell_length_c 5.584
_cell_angle_alpha 90.00
_cell_angle_beta 90.00
_cell_angle_gamma 90.00
loop_
_atom_site_label
_atom_site_type_symbol
_atom_site_fract_x
_atom_site_fract_y
_atom_site_fract_z
Sr1 Sr 0.000 0.000 0.000
Tm1 Tm 0.000 0.000 0.500
Tm2 Tm 0.500 0.500 0.500
```

Most intense lines, 2θ = 10–90°, by angle:
- (1 0 0), 15.87 deg, I 7
- (1 1 1), 27.67 deg, I 100
- (2 0 0), 32.06 deg, I 87
- (2 2 0), 45.97 deg, I 65
- (3 1 1), 54.50 deg, I 47
- (2 2 2), 57.14 deg, I 23
- (4 0 0), 67.04 deg, I 11
- (3 3 1), 74.00 deg, I 19
- (4 2 0), 76.26 deg, I 29
- (4 2 2), 85.12 deg, I 22


[3]
Computed powder diffractogram
Compound: Sr2TmZn
Radiation: Cu Kα
Structure: a cell relaxed with GGA-PBE
Neutral-atom scattering factors, no anomalous dispersion.

```
data_Sr2TmZn
_chemical_formula_sum 'Sr6 Tm3 Zn3'
_symmetry_space_group_name_H-M 'R -3 m'
_symmetry_Int_Tables_number 166
_symmetry_space_group_name_Hall '-R 3 2"'
_cell_length_a 3.7927
_cell_length_b 3.7927
_cell_length_c 35.7105
_cell_angle_alpha 90.00
_cell_angle_beta 90.00
_cell_angle_gamma 120.00
loop_
_atom_site_label
_atom_site_type_symbol
_atom_site_fract_x
_atom_site_fract_y
_atom_site_fract_z
Sr1 Sr 0.0000 0.0000 0.0993
Tm1 Tm 0.0000 0.0000 0.0000
Zn1 Zn 0.0000 0.0000 0.5000
```

Most intense lines, 2θ = 10–90°, by angle:
- (0 0 9), 22.41 deg, I 35
- (1 0 1), 27.27 deg, I 68
- (0 1 2), 27.61 deg, I 100
- (0 0 12), 30.01 deg, I 34
- (0 1 8), 33.88 deg, I 56
- (1 0 10), 37.19 deg, I 90
- (0 1 11), 39.01 deg, I 27
- (1 1 0), 47.97 deg, I 43
- (1 1 12), 57.64 deg, I 27
- (0 1 20), 58.87 deg, I 23


[4]
Computed powder diffractogram
Compound: SrW3
Radiation: Cu Kα
Structure: a cell relaxed with GGA-PBE
Neutral-atom scattering factors, no anomalous dispersion.

```
data_SrW3
_chemical_formula_sum 'Sr2 W6'
_symmetry_space_group_name_H-M 'C m m m'
_symmetry_Int_Tables_number 65
_symmetry_space_group_name_Hall '-C 2 2'
_cell_length_a 3.297
_cell_length_b 4.622
_cell_length_c 9.987
_cell_angle_alpha 90.00
_cell_angle_beta 90.00
_cell_angle_gamma 90.00
loop_
_atom_site_label
_atom_site_type_symbol
_atom_site_fract_x
_atom_site_fract_y
_atom_site_fract_z
Sr1 Sr 0.000 0.000 0.000
W1 W 0.000 0.000 0.500
W2 W 0.000 0.500 0.285
```

Most intense lines, 2θ = 10–90°, by angle:
- (0 0 4), 35.97 deg, I 20
- (1 1 2), 38.06 deg, I 100
- (0 2 0), 38.97 deg, I 26
- (1 1 3), 43.30 deg, I 20
- (0 2 4), 54.07 deg, I 13
- (2 0 0), 55.77 deg, I 9
- (1 3 2), 69.99 deg, I 17
- (2 2 0), 70.13 deg, I 9
- (1 1 7), 75.46 deg, I 8
- (2 2 4), 81.42 deg, I 8


[5]
Computed powder diffractogram
Compound: SrW3
Radiation: Cu Kα
Structure: a cell relaxed with GGA-PBE
Neutral-atom scattering factors, no anomalous dispersion.

```
data_SrW3
_chemical_formula_sum 'Sr1 W3'
_symmetry_space_group_name_H-M 'P 4/m m m'
_symmetry_Int_Tables_number 123
_symmetry_space_group_name_Hall '-P 4 2'
_cell_length_a 3.185
_cell_length_b 3.185
_cell_length_c 8.175
_cell_angle_alpha 90.00
_cell_angle_beta 90.00
_cell_angle_gamma 90.00
loop_
_atom_site_label
_atom_site_type_symbol
_atom_site_fract_x
_atom_site_fract_y
_atom_site_fract_z
Sr1 Sr 0.000 0.000 0.000
W1 W 0.000 0.000 0.500
W2 W 0.500 0.500 0.317
```

Most intense lines, 2θ = 10–90°, by angle:
- (0 0 1), 10.82 deg, I 90
- (1 0 2), 35.74 deg, I 100
- (1 1 0), 40.03 deg, I 56
- (1 1 1), 41.59 deg, I 15
- (1 0 3), 43.72 deg, I 42
- (1 0 4), 53.25 deg, I 12
- (2 0 0), 57.90 deg, I 19
- (2 1 2), 69.94 deg, I 29
- (2 1 3), 75.28 deg, I 17
- (1 1 6), 82.79 deg, I 11


[6]
Computed powder diffractogram
Compound: Sr3W
Radiation: Cu Kα
Structure: a cell relaxed with GGA-PBE
Neutral-atom scattering factors, no anomalous dispersion.

```
data_Sr3W
_chemical_formula_sum 'Sr12 W4'
_symmetry_space_group_name_H-M 'C m c m'
_symmetry_Int_Tables_number 63
_symmetry_space_group_name_Hall '-C 2c 2'
_cell_length_a 12.631
_cell_length_b 12.886
_cell_length_c 3.963
_cell_angle_alpha 90.00
_cell_angle_beta 90.00
_cell_angle_gamma 90.00
loop_
_atom_site_label
_atom_site_type_symbol
_atom_site_fract_x
_atom_site_fract_y
_atom_site_fract_z
Sr1 Sr 0.000 0.152 0.250
Sr2 Sr 0.200 0.380 0.250
W1 W 0.000 0.440 0.750
```

Most intense lines, 2θ = 10–90°, by angle:
- (0 2 0), 13.74 deg, I 16
- (2 0 0), 14.02 deg, I 19
- (1 3 0), 21.86 deg, I 14
- (4 0 0), 28.26 deg, I 25
- (3 3 0), 29.71 deg, I 26
- (2 2 1), 30.02 deg, I 100
- (5 1 0), 36.24 deg, I 15
- (3 3 1), 37.55 deg, I 28
- (1 5 1), 42.45 deg, I 27
- (5 5 1), 56.01 deg, I 18